# 1
# BaLaTiCuO6
Theoretical XRD peak list, copper Kα. Input: a DFT-relaxed cell (GGA-PBE, Alexandria).
Peak positions follow from Bragg's law for the DFT cell and can differ from measured ones.

```
40
Lattice="5.6349 0.0000 0.0000 0.0000 3.9677 0.0000 0.0000 0.0000 22.2126" Properties=species:S:1:pos:R:3 pbc="T T T"
Ba 1.4087 0.0000 1.4315
Ba 1.4087 0.0000 17.8690
Ba 4.2262 0.0000 4.3436
Ba 4.2262 0.0000 20.7810
La 1.4087 0.0000 7.1114
La 1.4087 0.0000 12.4622
La 4.2262 0.0000 9.7503
La 4.2262 0.0000 15.1011
Ti 1.4087 1.9838 4.3105
Ti 1.4087 1.9838 20.7698
Ti 4.2262 1.9838 1.4428
Ti 4.2262 1.9838 17.9020
Cu 1.4087 1.9838 9.7631
Cu 1.4087 1.9838 15.1405
Cu 4.2262 1.9838 7.0720
Cu 4.2262 1.9838 12.4494
O 0.0000 1.9838 0.0000
O 0.0000 1.9838 11.1063
O 0.0061 1.9838 13.7857
O 0.0044 1.9838 19.3388
O 0.0936 1.9838 5.7458
O 1.4087 0.0000 4.3657
O 1.4087 0.0000 9.7353
O 1.4087 0.0000 14.9993
O 1.4087 0.0000 20.7715
O 2.7239 1.9838 5.7458
O 2.8114 1.9838 13.7857
O 2.8131 1.9838 19.3388
O 2.8175 1.9838 0.0000
O 2.8175 1.9838 11.1063
O 2.8219 1.9838 2.8738
O 2.8236 1.9838 8.4268
O 2.9111 1.9838 16.4668
O 4.2262 0.0000 1.4410
O 4.2262 0.0000 7.2132
O 4.2262 0.0000 12.4772
O 4.2262 0.0000 17.8469
O 5.5414 1.9838 16.4668
O 5.6305 1.9838 2.8738
O 5.6288 1.9838 8.4268
```

Main lines, in order of rising 2θ (15° ≤ 2θ ≤ 90°):
- 22.45°, intensity 190
- 31.76°, intensity 259
- 31.95°, intensity 1000
- 32.24°, intensity 229
- 45.89°, intensity 311
- 56.72°, intensity 294


# 2
# Ba2LaTlCu2O7
Theoretical XRD peak list, copper Kα. Input: a DFT-relaxed cell (GGA-PBE, Alexandria).
Peak positions follow from Bragg's law for the DFT cell and can differ from measured ones.

```
13
Lattice="3.9327 0.0000 0.0000 0.0000 12.8612 0.0000 0.0000 0.0000 3.9730" Properties=species:S:1:pos:R:3 pbc="T T T"
Ba 0.0000 2.6274 0.0000
Ba 0.0000 10.2338 0.0000
La 0.0000 6.4306 0.0023
Tl 1.9664 0.0000 2.2413
Cu 1.9664 4.6562 1.9855
Cu 1.9664 8.2050 1.9855
O 0.0000 0.0000 3.5219
O 0.0000 4.8673 1.9923
O 0.0000 7.9940 1.9923
O 1.9664 2.1257 1.9159
O 1.9664 4.8441 3.9719
O 1.9664 8.0171 3.9719
O 1.9664 10.7355 1.9159
```

Main lines, in order of rising 2θ (15° ≤ 2θ ≤ 90°):
- 30.68°, intensity 808
- 30.85°, intensity 812
- 32.02°, intensity 1000
- 46.17°, intensity 271
- 56.13°, intensity 280
- 56.45°, intensity 293


# 3
# BaLiCu
Theoretical XRD peak list, copper Kα. Input: a DFT-relaxed cell (GGA-PBE, Alexandria).
Peak positions follow from Bragg's law for the DFT cell and can differ from measured ones.

```
6
Lattice="6.8390 -2.1882 0.0000 6.8390 2.1882 0.0000 -1.2912 0.0000 6.0044" Properties=species:S:1:pos:R:3 pbc="T T T"
Ba 1.2896 0.0000 1.8510
Ba 11.0973 0.0000 4.1534
Li 5.0749 0.0000 1.1798
Li 7.3120 0.0000 4.8246
Cu 1.9835 0.0000 5.3335
Cu 10.4034 0.0000 0.6708
```

Main lines, in order of rising 2θ (15° ≤ 2θ ≤ 90°):
- 21.36°, intensity 774
- 21.88°, intensity 931
- 28.58°, intensity 506
- 30.25°, intensity 724
- 35.73°, intensity 1000
- 44.95°, intensity 427


# 4
# BaLi3Cu
Theoretical XRD peak list, copper Kα. Input: a DFT-relaxed cell (GGA-PBE, Alexandria).
Peak positions follow from Bragg's law for the DFT cell and can differ from measured ones.

```
10
Lattice="7.6167 0.0000 0.0000 0.0000 4.3159 0.0000 -2.0518 0.0000 7.8293" Properties=species:S:1:pos:R:3 pbc="T T T"
Ba 0.0000 0.0000 0.0000
Ba 2.1064 2.1580 2.9463
Li -0.6782 0.0000 4.3267
Li 0.7352 2.1580 6.4536
Li 4.0734 0.0000 0.6952
Li 2.8052 0.0000 5.7006
Li 4.8576 2.1580 5.0853
Li 5.6513 2.1580 2.2635
Cu 3.1752 2.1580 7.3213
Cu 4.4961 0.0000 3.4782
```

Main lines, in order of rising 2θ (15° ≤ 2θ ≤ 90°):
- 22.72°, intensity 770
- 23.90°, intensity 1000
- 27.82°, intensity 875
- 30.95°, intensity 504
- 31.78°, intensity 914
- 44.86°, intensity 587